No. 1
Ho5Si3C: calculated powder diffraction line list (Cu Ka), based on a DFT-relaxed cell (GGA-PBE, the Materials Project).
Peak positions follow from Bragg's law for the DFT cell and can differ from measured ones.

Principal peaks in the range 10 to 90 degrees two-theta, by angle:
2θ/deg, d/Å, intensity
24.4, 3.654, 143
25.4, 3.511, 192
30.8, 2.905, 328
32.4, 2.762, 313
35.5, 2.532, 1000
52.1, 1.756, 163
54.7, 1.677, 195
57.8, 1.595, 161
58.3, 1.583, 204
71.0, 1.327, 137

```
Ho5Si3C
1.0
8.4375 0.0000 0.0000
-4.2187 7.3071 0.0000
0.0000 0.0000 6.3331
Ho Si C
10 6 2
Cartesian
-0.9450 1.6368 1.5833
-3.2737 5.6703 4.7498
1.8900 0.0000 1.5833
0.9450 1.6368 4.7498
0.0000 4.8714 0.0000
0.0000 4.8714 3.1665
4.2187 2.4357 0.0000
4.2187 2.4357 3.1665
6.5474 0.0000 4.7498
3.2737 5.6703 1.5833
-1.7172 2.9743 4.7498
-2.5015 4.3328 1.5833
3.4344 0.0000 4.7498
1.7172 2.9743 1.5833
5.0031 0.0000 1.5833
2.5015 4.3328 4.7498
0.0000 0.0000 0.0000
0.0000 0.0000 3.1665
```

---

No. 2
Eu2I2O: calculated powder diffraction line list (Cu Ka), based on a DFT-relaxed cell (GGA-PBE, the Materials Project).
Peak positions follow from Bragg's law for the DFT cell and can differ from measured ones.

Principal peaks in the range 10 to 90 degrees two-theta, by angle:
2θ/deg, d/Å, intensity
23.8, 3.736, 340
27.6, 3.234, 364
27.7, 3.219, 723
28.5, 3.136, 1000
33.2, 2.695, 674
34.7, 2.586, 586
36.9, 2.439, 219
39.5, 2.282, 342
49.5, 1.842, 214
60.3, 1.535, 232

```
Eu2I2O
1.0
-3.7369 6.4674 3.2195
3.7369 -6.4674 3.2195
3.7369 6.4674 -3.2195
Eu I O
4 4 2
Cartesian
1.2833 1.1596 0.0000
1.2833 -1.1596 3.2195
2.4536 7.6270 0.0000
2.4536 5.3078 3.2195
4.8696 1.9415 0.0000
1.1327 4.5258 0.0000
2.6042 1.9415 3.2195
-1.1327 4.5258 3.2195
0.0000 0.0000 1.6097
0.0000 0.0000 4.8292
```

---

No. 3
Mo3WSe6S2: calculated powder diffraction line list (Cu Ka), based on a DFT-relaxed cell (GGA-PBE, the Materials Project).
Peak positions follow from Bragg's law for the DFT cell and can differ from measured ones.

Principal peaks in the range 10 to 90 degrees two-theta, by angle:
2θ/deg, d/Å, intensity
11.8, 7.480, 1000
14.2, 6.233, 149
31.4, 2.849, 388
33.6, 2.664, 146
36.9, 2.434, 712
44.8, 2.025, 474
46.6, 1.949, 164
55.9, 1.645, 274
68.9, 1.363, 111
79.3, 1.209, 128

```
Mo3WSe6S2
1.0
3.2916 0.0000 0.0000
-1.6458 2.8506 0.0000
0.0000 0.0000 37.4000
Mo W Se S
3 1 6 2
Cartesian
0.0000 0.0000 0.0000
0.0000 0.0000 14.0529
0.0000 1.9004 7.0262
0.0000 1.9004 21.0808
0.0000 0.0000 5.3411
0.0000 0.0000 8.7124
0.0000 0.0000 19.3863
0.0000 0.0000 22.7751
0.0000 1.9004 12.3675
0.0000 1.9004 15.7378
0.0000 1.9004 1.5336
0.0000 1.9004 35.8668
```

---

No. 4
YMg14Cr: calculated powder diffraction line list (Cu Ka), based on a DFT-relaxed cell (GGA-PBE, the Materials Project).
Peak positions follow from Bragg's law for the DFT cell and can differ from measured ones.

Principal peaks in the range 10 to 90 degrees two-theta, by angle:
2θ/deg, d/Å, intensity
32.3, 2.770, 275
34.8, 2.576, 390
36.4, 2.465, 534
36.8, 2.440, 1000
48.2, 1.886, 170
57.1, 1.613, 176
63.8, 1.460, 190
68.6, 1.367, 193
69.4, 1.354, 161
70.4, 1.337, 141

```
YMg14Cr
1.0
10.3032 0.0000 0.0000
0.0000 3.1843 5.6145
0.0000 -3.1843 5.6145
Y Mg Cr
1 14 1
Cartesian
0.0000 0.0000 0.0000
0.0000 -1.5434 2.8251
0.0000 1.5434 2.8251
2.4832 0.0000 7.4232
2.5872 -1.5603 4.6523
2.5872 1.5603 4.6523
2.6403 0.0000 1.8493
5.1516 0.0000 5.5973
5.1516 -1.5846 8.3983
5.1516 1.5846 8.3983
5.1516 0.0000 11.2064
7.6629 0.0000 1.8493
7.7160 -1.5603 4.6523
7.7160 1.5603 4.6523
7.8200 0.0000 7.4232
0.0000 0.0000 5.5554
```

---

No. 5
Cd2Te3O9: calculated powder diffraction line list (Cu Ka), based on a DFT-relaxed cell (GGA-PBE, the Materials Project).
Peak positions follow from Bragg's law for the DFT cell and can differ from measured ones.

Principal peaks in the range 10 to 90 degrees two-theta, by angle:
2θ/deg, d/Å, intensity
27.1, 3.285, 598
28.3, 3.159, 538
29.4, 3.043, 1000
32.7, 2.736, 498
33.7, 2.656, 207
47.0, 1.932, 343
48.4, 1.880, 259
49.1, 1.856, 162
53.8, 1.704, 172
57.6, 1.599, 302

```
Cd2Te3O9
1.0
9.5103 0.0000 0.0000
0.0000 7.4243 0.0000
-7.2914 0.0000 11.3164
Cd Te O
8 12 36
Cartesian
-0.1664 0.9293 1.6660
-3.8121 2.7829 7.3242
-0.1091 4.6328 1.6689
-3.7547 6.5037 7.3271
5.9737 0.9207 3.9893
2.3280 2.7915 9.6475
6.0311 4.6415 3.9922
2.3854 6.4950 9.6504
-4.3489 4.6316 10.6229
-0.7032 6.5049 4.9647
-4.2628 0.8990 10.8648
-0.6171 2.8132 5.2065
-0.7324 0.9367 8.4870
2.9133 2.7754 2.8288
-0.6943 4.6489 8.4876
2.9514 6.4876 2.8294
2.8361 4.6111 6.1099
6.4817 6.5254 0.4517
2.9222 0.9194 6.3517
6.5678 2.7928 0.6935
-6.2292 4.6899 10.9796
-2.5836 6.4466 5.3214
-6.1514 0.8935 10.9093
-2.5057 2.8187 5.2511
-1.0227 0.6073 3.8308
-4.6684 3.1049 9.4890
-0.9024 4.9058 3.8811
-4.5481 6.2307 9.5393
-2.5967 0.9693 8.1130
1.0490 2.7429 2.4548
-2.5437 4.5971 8.0792
1.1020 6.5394 2.4210
-0.2998 1.3971 6.5823
3.3459 2.3151 0.9241
-0.2194 4.1939 6.5722
3.4263 6.9425 0.9140
3.0101 4.6315 2.1788
-0.6356 6.5050 7.8370
2.8546 0.9193 3.4794
-0.7911 2.7929 9.1376
-1.2073 0.4818 10.4024
2.4383 3.2304 4.7442
-1.1269 5.1093 10.3924
2.5188 6.0272 4.7342
1.1170 0.8849 8.8954
4.7627 2.8273 3.2372
1.1700 4.6814 8.8616
4.8157 6.4551 3.2034
6.7671 1.1936 1.7771
3.1214 2.5186 7.4353
6.8874 4.3195 1.8274
3.2417 6.8170 7.4856
4.7247 4.6056 6.0653
8.3704 6.5309 0.4071
4.8026 0.9777 5.9950
8.4482 2.7344 0.3368
```